For Ho3TmGa8, a structure optimized by DFT (PBE) gives the theoretical XRD peak list in this record (CuKα).

Atomic structure:
Unit cell a=5.4612 b=5.4612 c=27.1277 alpha=90.00 beta=90.00 gamma=120.00
Space group R3m (No. 160, hexagonal axes)
One atom of each set of equivalent atoms:
Ho  0.0000  0.0000  0.0000 [3 per cell]
Ho  0.0000  0.0000  0.1240 [3 per cell]
Ho  0.0000  0.0000  0.6237 [3 per cell]
Tm  0.0000  0.0000  0.5001 [3 per cell]
Ga  0.0000  0.0000  0.3119 [3 per cell]
Ga  0.0000  0.0000  0.8120 [3 per cell]
Ga  0.0001  0.5001  0.0621 [9 per cell]
Ga  0.0000  0.5000  0.5618 [9 per cell]

The 10 most intense peaks (2θ = 15–90°), in order of rising 2θ:
| Position (°2θ) | intensity | (hkl) |
| --- | --- | --- |
| 32.49 | 60.9 | 0 1 8 |
| 32.80 | 59.5 | 1 1 0 |
| 38.25 | 54.9 | 1 0 10 |
| 38.52 | 100.0 | 1 1 6 |
| 38.65 | 51.4 | 2 0 2 |
| 40.39 | 28.0 | 0 2 4 |
| 62.19 | 26.1 | 2 1 10 |
| 62.38 | 24.0 | 3 0 6 |
| 68.04 | 25.4 | 0 2 16 |
| 68.76 | 24.7 | 2 2 0 |

For Ho4TmGa, a structure optimized by DFT (PBE) gives the theoretical XRD peak list in this record (CuKα).

Atomic structure:
Unit cell a=8.6970 b=13.4201 c=6.2011 alpha=90.00 beta=108.02 gamma=90.00
Space group C2/c (No. 15)
One atom of each set of equivalent atoms:
Ho  0.0997  0.1826  0.0448 [8 per cell]
Ho  0.2213  0.3852  0.3784 [8 per cell]
Tm  0.0000  0.4054  0.7500 [4 per cell]
Ga  0.0000  0.0005  0.2500 [4 per cell]

The 10 most intense peaks (2θ = 15–90°), in order of rising 2θ:
| Position (°2θ) | intensity | (hkl) |
| --- | --- | --- |
| 26.57 | 26.9 | 0 4 0 |
| 29.08 | 41.9 | 1 3 1 |
| 29.60 | 48.4 | 1 1 -2 |
| 32.00 | 74.5 | 3 1 -1 |
| 32.89 | 91.9 | 2 2 1 |
| 33.19 | 19.0 | 0 2 2 |
| 34.83 | 28.6 | 2 4 -1 |
| 35.21 | 100.0 | 1 3 -2 |
| 52.41 | 19.0 | 1 7 1 |
| 55.33 | 23.1 | 4 2 -3 |

For HoUGa, a structure optimized by DFT (PBE) gives the theoretical XRD peak list in this record (CuKα).

Atomic structure:
Unit cell a=5.5246 b=8.5029 c=12.5038 alpha=90.00 beta=90.00 gamma=90.00
Space group Fmmm (No. 69)
One atom of each set of equivalent atoms:
Ho  0.0000  0.1760  0.0000 [8 per cell]
U  0.2500  0.2500  0.2500 [8 per cell]
Ga  0.0000  0.0000  0.3941 [8 per cell]

The 10 most intense peaks (2θ = 15–90°), in order of rising 2θ:
| Position (°2θ) | intensity | (hkl) |
| --- | --- | --- |
| 20.89 | 70.1 | 0 2 0 |
| 25.33 | 30.5 | 0 2 2 |
| 28.56 | 55.7 | 0 0 4 |
| 35.53 | 100.0 | 2 0 2 |
| 35.65 | 90.7 | 0 2 4 |
| 36.34 | 53.8 | 1 3 1 |
| 41.58 | 74.1 | 2 2 2 |
| 59.68 | 38.3 | 2 2 6 |
| 62.64 | 27.4 | 2 4 4 |
| 67.83 | 25.1 | 4 0 0 |

For Y4HoGa2, a structure optimized by DFT (PBE) gives the theoretical XRD peak list in this record (CuKα).

Atomic structure:
Unit cell a=4.9404 b=4.9404 c=29.8571 alpha=90.00 beta=90.00 gamma=120.00
Space group R-3m (No. 166, hexagonal axes)
One atom of each set of equivalent atoms:
Y  0.0000  0.0000  0.1035 [6 per cell]
Y  0.0000  0.0000  0.2978 [6 per cell]
Ho  0.0000  0.0000  0.5000 [3 per cell]
Ga  0.0000  0.0000  0.4005 [6 per cell]

The 10 most intense peaks (2θ = 15–90°), in order of rising 2θ:
| Position (°2θ) | intensity | (hkl) |
| --- | --- | --- |
| 20.98 | 32.3 | 1 0 1 |
| 25.61 | 80.1 | 0 1 5 |
| 36.37 | 100.0 | 1 1 0 |
| 36.70 | 95.7 | 1 0 10 |
| 45.01 | 17.0 | 2 0 5 |
| 52.63 | 33.3 | 0 2 10 |
| 65.44 | 17.3 | 3 0 0 |
| 65.66 | 34.2 | 2 1 10 |
| 66.31 | 15.5 | 0 1 20 |
| 88.71 | 15.0 | 1 3 10 |

For Y4HoGa4, a structure optimized by DFT (PBE) gives the theoretical XRD peak list in this record (CuKα).

Atomic structure:
Unit cell a=9.0154 b=9.0154 c=5.9837 alpha=90.00 beta=90.00 gamma=90.00
Space group P4_2/n (No. 86, origin choice 2)
One atom of each set of equivalent atoms:
Y  0.0638  0.6607  0.1301 [8 per cell]
Ho  0.2500  0.2500  0.2500 [2 per cell]
Ga  0.0208  0.6202  0.6168 [8 per cell]

The 10 most intense peaks (2θ = 15–90°), in order of rising 2θ:
| Position (°2θ) | intensity | (hkl) |
| --- | --- | --- |
| 17.79 | 33.2 | 1 0 1 |
| 26.66 | 43.6 | 2 1 1 |
| 31.38 | 100.0 | 1 3 0 |
| 31.51 | 40.4 | 1 0 2 |
| 37.43 | 29.7 | 1 2 2 |
| 39.04 | 17.0 | 2 3 1 |
| 42.64 | 18.8 | 3 0 2 |
| 44.09 | 12.8 | 4 1 1 |
| 44.97 | 31.5 | 4 2 0 |
| 47.38 | 26.4 | 3 2 2 |

For HoZn2Ga2, a structure optimized by DFT (PBE) gives the theoretical XRD peak list in this record (CuKα).

Atomic structure:
Unit cell a=4.1429 b=4.1429 c=10.6546 alpha=90.00 beta=90.00 gamma=90.00
Space group P4/nmm (No. 129, origin choice 2)
One atom of each set of equivalent atoms:
Ho  0.2500  0.2500  0.2488 [2 per cell]
Zn  0.2500  0.2500  0.6393 [2 per cell]
Zn  0.2500  0.7500  0.0000 [2 per cell]
Ga  0.2500  0.2500  0.8627 [2 per cell]
Ga  0.2500  0.7500  0.5000 [2 per cell]

The 10 most intense peaks (2θ = 15–90°), in order of rising 2θ:
| Position (°2θ) | intensity | (hkl) |
| --- | --- | --- |
| 30.52 | 17.1 | 1 1 0 |
| 33.23 | 58.2 | 1 0 3 |
| 34.95 | 100.0 | 1 1 2 |
| 43.70 | 49.6 | 2 0 0 |
| 48.01 | 32.7 | 1 0 5 |
| 55.98 | 26.0 | 2 1 3 |
| 63.51 | 15.8 | 2 2 0 |
| 66.92 | 23.6 | 2 1 5 |
| 74.60 | 21.2 | 3 1 2 |
| 86.97 | 11.4 | 2 0 8 |